Starting from a structure optimized by DFT (GGA-PBE), the powder diffractogram of Ce2InGa4Cu3 was simulated for Cu Kα (weighted mean of Kα1 and Kα2).
Peak positions follow from Bragg's law for the DFT cell and can differ from measured ones.

```
Ce2InGa4Cu3
1.0
4.238 0.000 0.000
0.000 4.238 0.000
0.000 0.000 10.580
Ce In Ga Cu
2 1 4 3
Direct
0.000 0.500 0.235
0.500 0.000 0.765
0.000 0.000 0.500
0.000 0.000 0.000
0.000 0.500 0.654
0.500 0.000 0.346
0.500 0.500 0.000
0.000 0.500 0.878
0.500 0.000 0.122
0.500 0.500 0.500
```

Largest 10 diffraction maxima, low angle first, 2θ = 5–70°:
Position (°2θ), I/Imax
29.82, 9
33.05, 43
34.40, 100
42.67, 51
45.76, 10
48.06, 21
55.01, 20
60.97, 9
61.94, 16
66.20, 16

***

Starting from a structure optimized by DFT (GGA-PBE), the powder diffractogram of RbPa2GaN5 was simulated for Cu Kα (weighted mean of Kα1 and Kα2).
Peak positions follow from Bragg's law for the DFT cell and can differ from measured ones.

```
RbPa2GaN5
1.0
-3.379 3.379 5.840
3.379 -3.379 5.840
3.379 3.379 -5.840
Rb Pa Ga N
2 4 2 10
Direct
0.250 0.250 0.000
0.750 0.750 0.000
0.193 0.693 0.885
0.307 0.193 0.500
0.693 0.807 0.500
0.807 0.307 0.115
0.250 0.750 0.500
0.750 0.250 0.500
0.000 0.000 0.000
0.013 0.239 0.500
0.239 0.739 0.226
0.261 0.487 0.500
0.487 0.987 0.226
0.500 0.500 0.000
0.513 0.013 0.774
0.739 0.513 0.500
0.761 0.261 0.774
0.987 0.761 0.500
```

Largest 10 diffraction maxima, low angle first, 2θ = 5–70°:
Position (°2θ), I/Imax
15.17, 27
26.37, 5
30.57, 100
37.67, 37
49.28, 26
54.39, 11
56.71, 14
61.37, 13
63.62, 5
63.73, 7

***

Starting from a structure optimized by DFT (GGA-PBE), the powder diffractogram of BaLi2Hg2 was simulated for Cu Kα (weighted mean of Kα1 and Kα2).
Peak positions follow from Bragg's law for the DFT cell and can differ from measured ones.

```
BaLi2Hg2
1.0
8.411 0.000 0.000
0.000 8.411 0.000
0.000 0.000 3.562
Ba Li Hg
2 4 4
Direct
0.000 0.000 0.000
0.500 0.500 0.000
0.116 0.384 0.000
0.384 0.884 0.000
0.616 0.116 0.000
0.884 0.616 0.000
0.168 0.668 0.500
0.332 0.168 0.500
0.668 0.832 0.500
0.832 0.332 0.500
```

Largest 10 diffraction maxima, low angle first, 2θ = 5–70°:
Position (°2θ), I/Imax
23.65, 100
29.22, 35
30.05, 19
32.95, 59
33.70, 54
34.68, 85
44.41, 22
51.63, 28
52.85, 38
57.23, 19

***

Starting from a structure optimized by DFT (GGA-PBE), the powder diffractogram of Pr4GaSe3 was simulated for Cu Kα (weighted mean of Kα1 and Kα2).
Peak positions follow from Bragg's law for the DFT cell and can differ from measured ones.

```
Pr4GaSe3
1.0
6.061 0.000 0.000
0.000 6.061 0.000
0.000 0.000 6.061
Pr Ga Se
4 1 3
Direct
0.000 0.000 0.000
0.000 0.500 0.500
0.500 0.000 0.500
0.500 0.500 0.000
0.500 0.500 0.500
0.000 0.000 0.500
0.000 0.500 0.000
0.500 0.000 0.000
```

Largest 8 diffraction maxima, low angle first, 2θ = 5–70°:
Position (°2θ), I/Imax
25.46, 16
29.48, 100
42.17, 75
49.91, 8
52.29, 27
61.17, 12
67.35, 3
69.34, 34

***

Starting from a structure optimized by DFT (GGA-PBE), the powder diffractogram of PmBi2H was simulated for Cu Kα (weighted mean of Kα1 and Kα2).
Peak positions follow from Bragg's law for the DFT cell and can differ from measured ones.

```
PmBi2H
1.0
4.367 0.000 0.000
0.000 4.367 0.000
0.000 0.000 5.399
Pm Bi H
1 2 1
Direct
0.000 0.000 0.000
0.000 0.500 0.500
0.500 0.000 0.500
0.500 0.500 0.000
```

Largest 10 diffraction maxima, low angle first, 2θ = 5–70°:
Position (°2θ), I/Imax
16.42, 29
20.34, 12
26.25, 13
28.92, 16
33.19, 25
33.43, 100
41.35, 28
44.58, 10
54.02, 26
59.45, 20